# 1
# Pm7Nd2Er2
Calculated X-ray diffraction stick pattern, λ = 1.5418 Å (Cu Kα). Input: the PBE geometry in Alexandria.
Peak positions follow from Bragg's law for the DFT cell and can differ from measured ones.

Cell and atoms:
a b c (Å): 6.276 6.300 9.601
angles (deg): 89.78 83.68 80.32
Space group P-1 (No. 2)
Symmetry-distinct sites (fractional):
Pm 0.000 0.000 0.000 [1 per cell]
Pm 0.093 0.818 0.634 [2 per cell]
Pm 0.180 0.635 0.276 [2 per cell]
Pm 0.453 0.090 0.185 [2 per cell]
Nd 0.274 0.455 0.907 [2 per cell]
Er 0.365 0.272 0.544 [2 per cell]

Peak list (10 most intense, 10 to 80 degrees two-theta, by angle)
- 2θ 30.16, intensity 100, (2 1 0)
- 2θ 34.85, intensity 17, (1 2 2)
- 2θ 35.02, intensity 34, (2 -1 1)
- 2θ 50.19, intensity 6, (-1 3 1)
- 2θ 50.25, intensity 18, (3 1 3)
- 2θ 50.36, intensity 12, (3 0 -2)
- 2θ 59.61, intensity 15, (3 3 2)
- 2θ 59.83, intensity 29, (4 0 1)
- 2θ 62.68, intensity 9, (0 4 -2)
- 2θ 73.98, intensity 4, (4 -2 2)

# 2
# SrAc8Ni5
Calculated X-ray diffraction stick pattern, λ = 1.5418 Å (Cu Kα). Input: the PBE geometry in Alexandria.
Peak positions follow from Bragg's law for the DFT cell and can differ from measured ones.

Cell and atoms:
a b c (Å): 22.524 4.335 10.427
angles (deg): 90.00 104.63 90.00
Space group C2/m (No. 12)
Symmetry-distinct sites (fractional):
Sr 0.000 0.000 0.000 [2 per cell]
Ac 0.068 0.000 0.665 [4 per cell]
Ac 0.099 0.500 0.367 [4 per cell]
Ac 0.174 0.500 0.978 [4 per cell]
Ac 0.249 0.000 0.330 [4 per cell]
Ni 0.000 0.500 0.500 [2 per cell]
Ni 0.170 0.000 0.537 [4 per cell]
Ni 0.205 0.000 0.811 [4 per cell]

Peak list (10 most intense, 10 to 80 degrees two-theta, by angle)
- 2θ 10.34, intensity 15, (2 0 -1)
- 2θ 26.37, intensity 31, (6 0 -2)
- 2θ 26.55, intensity 100, (3 1 1)
- 2θ 27.88, intensity 62, (3 1 -2)
- 2θ 28.13, intensity 32, (6 0 1)
- 2θ 31.66, intensity 14, (3 1 2)
- 2θ 38.32, intensity 18, (3 1 3)
- 2θ 41.67, intensity 58, (0 2 0)
- 2θ 48.45, intensity 14, (3 1 -5)
- 2θ 50.02, intensity 23, (0 2 3)

# 3
# CaNpMnN3
Calculated X-ray diffraction stick pattern, λ = 1.5418 Å (Cu Kα). Input: the PBE geometry in Alexandria.
Peak positions follow from Bragg's law for the DFT cell and can differ from measured ones.

Cell and atoms:
a b c (Å): 6.970 3.421 7.627
angles (deg): 90.00 97.85 90.00
Space group P2_1/m (No. 11)
Symmetry-distinct sites (fractional):
Ca 0.161 0.250 0.173 [2 per cell]
Np 0.354 0.750 0.830 [2 per cell]
Mn 0.069 0.250 0.599 [2 per cell]
N 0.134 0.250 0.849 [2 per cell]
N 0.166 0.750 0.546 [2 per cell]
N 0.424 0.750 0.129 [2 per cell]

Peak list (10 most intense, 10 to 80 degrees two-theta, by angle)
- 2θ 11.71, intensity 24, (0 0 1)
- 2θ 16.16, intensity 100, (1 0 -1)
- 2θ 28.64, intensity 27, (0 1 1)
- 2θ 29.89, intensity 19, (2 0 1)
- 2θ 32.17, intensity 24, (1 1 1)
- 2θ 32.66, intensity 23, (2 0 -2)
- 2θ 35.40, intensity 28, (0 1 2)
- 2θ 35.65, intensity 18, (0 0 3)
- 2θ 36.99, intensity 39, (2 1 0)
- 2θ 37.78, intensity 17, (2 1 -1)

# 4
# CeZnInPd3
Calculated X-ray diffraction stick pattern, λ = 1.5418 Å (Cu Kα). Input: the PBE geometry in Alexandria.
Peak positions follow from Bragg's law for the DFT cell and can differ from measured ones.

Cell and atoms:
a b c (Å): 6.690 12.709 5.809
angles (deg): 90.00 90.00 90.00
Space group Cmcm (No. 63)
Symmetry-distinct sites (fractional):
Ce 0.000 0.178 0.250 [4 per cell]
Zn 0.000 0.139 0.750 [4 per cell]
In 0.000 0.421 0.250 [4 per cell]
Pd 0.000 0.342 0.750 [4 per cell]
Pd 0.202 0.000 0.000 [8 per cell]

Peak list (10 most intense, 10 to 80 degrees two-theta, by angle)
- 2θ 13.94, intensity 39, (0 2 0)
- 2θ 26.65, intensity 28, (2 0 0)
- 2θ 30.19, intensity 41, (2 2 0)
- 2θ 32.11, intensity 46, (0 4 1)
- 2θ 33.94, intensity 41, (0 2 2)
- 2θ 39.10, intensity 49, (2 4 0)
- 2θ 41.07, intensity 26, (3 1 0)
- 2θ 41.16, intensity 100, (2 0 2)
- 2θ 42.18, intensity 91, (0 4 2)
- 2θ 64.14, intensity 29, (0 0 4)

# 5
# Ti3ZnO
Calculated X-ray diffraction stick pattern, λ = 1.5418 Å (Cu Kα). Input: the PBE geometry in Alexandria.
Peak positions follow from Bragg's law for the DFT cell and can differ from measured ones.

Cell and atoms:
a b c (Å): 5.664 5.664 4.304
angles (deg): 90.00 90.00 90.00
Space group P4/mbm (No. 127)
Symmetry-distinct sites (fractional):
Ti 0.000 0.000 0.000 [2 per cell]
Ti 0.205 0.295 0.500 [4 per cell]
Zn 0.000 0.500 0.000 [2 per cell]
O 0.000 0.000 0.500 [2 per cell]

Peak list (10 most intense, 10 to 80 degrees two-theta, by angle)
- 2θ 31.59, intensity 8, (2 0 0)
- 2θ 35.44, intensity 9, (2 1 0)
- 2θ 38.04, intensity 100, (2 0 1)
- 2θ 41.36, intensity 11, (2 1 1)
- 2θ 41.99, intensity 29, (0 0 2)
- 2θ 45.28, intensity 36, (2 2 0)
- 2θ 63.46, intensity 24, (2 2 2)
- 2θ 65.97, intensity 8, (4 0 0)
- 2θ 74.09, intensity 12, (2 0 3)
- 2θ 78.77, intensity 12, (4 2 1)

# 6
# LaNd2US8
Calculated X-ray diffraction stick pattern, λ = 1.5418 Å (Cu Kα). Input: the PBE geometry in Alexandria.
Peak positions follow from Bragg's law for the DFT cell and can differ from measured ones.

Cell and atoms:
a b c (Å): 4.733 6.755 9.206
angles (deg): 90.00 90.00 90.00
Space group Pmmm (No. 47)
Symmetry-distinct sites (fractional):
La 0.000 0.000 0.000 [1 per cell]
Nd 0.500 0.500 0.249 [2 per cell]
U 0.000 0.000 0.500 [1 per cell]
S 0.000 0.244 0.276 [4 per cell]
S 0.500 0.220 0.500 [2 per cell]
S 0.500 0.253 0.000 [2 per cell]

Peak list (10 most intense, 10 to 80 degrees two-theta, by angle)
- 2θ 22.95, intensity 95, (1 1 0)
- 2θ 23.39, intensity 95, (0 1 2)
- 2θ 27.02, intensity 22, (1 0 2)
- 2θ 38.03, intensity 26, (2 0 0)
- 2θ 38.13, intensity 100, (1 2 2)
- 2θ 39.14, intensity 22, (0 0 4)
- 2θ 44.56, intensity 18, (1 3 0)
- 2θ 45.13, intensity 33, (2 1 2)
- 2θ 45.86, intensity 31, (1 1 4)
- 2θ 60.21, intensity 20, (3 1 0)

# 7
# PuURu4
Calculated X-ray diffraction stick pattern, λ = 1.5418 Å (Cu Kα). Input: the PBE geometry in Alexandria.
Peak positions follow from Bragg's law for the DFT cell and can differ from measured ones.

Cell and atoms:
a b c (Å): 7.902 3.893 6.842
angles (deg): 90.00 90.00 90.00
Space group Pmma (No. 51)
Symmetry-distinct sites (fractional):
Pu 0.250 0.000 0.137 [2 per cell]
U 0.250 0.000 0.740 [2 per cell]
Ru 0.000 0.000 0.500 [2 per cell]
Ru 0.028 0.500 0.811 [4 per cell]
Ru 0.250 0.500 0.435 [2 per cell]

Peak list (10 most intense, 10 to 80 degrees two-theta, by angle)
- 2θ 22.50, intensity 25, (2 0 0)
- 2θ 22.84, intensity 22, (0 1 0)
- 2θ 32.28, intensity 62, (2 1 0)
- 2θ 34.91, intensity 85, (2 1 1)
- 2θ 36.78, intensity 56, (1 1 2)
- 2θ 41.20, intensity 33, (1 0 3)
- 2θ 41.94, intensity 100, (2 1 2)
- 2θ 45.94, intensity 41, (4 0 0)
- 2θ 46.66, intensity 43, (0 2 0)
- 2θ 67.56, intensity 26, (4 2 0)